(1)
Calculated powder XRD pattern of Cu15Sn for Cu Ka, from a DFT-relaxed cell (PBE, OQMD).

Largest 10 diffraction maxima, most intense first, 15° ≤ 2θ ≤ 90°:
2θ = 43.9°, d = 2.061 Å, intensity 100; 2θ = 42.6°, d = 2.121 Å, intensity 85; 2θ = 50.5°, d = 1.806 Å, intensity 61; 2θ = 89.6°, d = 1.094 Å, intensity 18; 2θ = 74.3°, d = 1.277 Å, intensity 18; 2θ = 73.9°, d = 1.282 Å, intensity 16; 2θ = 50.1°, d = 1.820 Å, intensity 14; 2θ = 75.8°, d = 1.255 Å, intensity 11; 2θ = 52.5°, d = 1.744 Å, intensity 10; 2θ = 39.2°, d = 2.296 Å, intensity 9

Structural model:
Lattice parameters (Å, degrees): 3.613 3.613 41.861 90.00 90.00 90.00
Sites, in units of the cell vectors:
Cu1 0.250 0.000 0.021
Cu2 0.250 0.000 0.107
Cu3 0.250 0.000 0.192
Cu4 0.250 0.000 0.277
Cu5 0.250 0.000 0.681
Cu6 0.250 0.000 0.766
Cu7 0.250 0.000 0.850
Cu8 0.250 0.000 0.936
Cu9 0.250 0.500 0.064
Cu10 0.250 0.500 0.150
Cu11 0.250 0.500 0.234
Cu12 0.250 0.500 0.723
Cu13 0.250 0.500 0.808
Cu14 0.250 0.500 0.893
Cu15 0.250 0.500 0.979
Cu16 0.750 0.000 0.064
Cu17 0.750 0.000 0.150
Cu18 0.750 0.000 0.234
Cu19 0.750 0.000 0.319
Cu20 0.750 0.000 0.723
Cu21 0.750 0.000 0.808
Cu22 0.750 0.000 0.893
Cu23 0.750 0.000 0.979
Cu24 0.750 0.500 0.021
Cu25 0.750 0.500 0.107
Cu26 0.750 0.500 0.192
Cu27 0.750 0.500 0.277
Cu28 0.750 0.500 0.766
Cu29 0.750 0.500 0.850
Cu30 0.750 0.500 0.936
Sn1 0.250 0.500 0.338
Sn2 0.750 0.500 0.662

(2)
Calculated powder XRD pattern of Cu2Sn5 for Cu Ka, from a DFT-relaxed cell (PBE, OQMD).

Largest 10 diffraction maxima, most intense first, 15° ≤ 2θ ≤ 90°:
2θ = 35.6°, d = 2.520 Å, intensity 100; 2θ = 36.4°, d = 2.470 Å, intensity 91; 2θ = 64.5°, d = 1.445 Å, intensity 35; 2θ = 51.8°, d = 1.764 Å, intensity 33; 2θ = 64.0°, d = 1.455 Å, intensity 19; 2θ = 86.8°, d = 1.122 Å, intensity 16; 2θ = 21.7°, d = 4.101 Å, intensity 14; 2θ = 65.9°, d = 1.417 Å, intensity 14; 2θ = 88.1°, d = 1.109 Å, intensity 14; 2θ = 75.4°, d = 1.260 Å, intensity 12

Structural model:
Lattice parameters (Å, degrees): 8.503 8.503 8.503 34.48 34.48 34.48
Sites, in units of the cell vectors:
Cu1 0.000 0.000 0.000
Cu2 0.494 0.494 0.494
Sn1 0.239 0.239 0.239
Sn2 0.373 0.373 0.373
Sn3 0.623 0.623 0.623
Sn4 0.752 0.752 0.752
Sn5 0.873 0.873 0.873

(3)
Calculated powder XRD pattern of Cu10Sn3 for Cu Ka, from a DFT-relaxed cell (PBE, OQMD).

Largest 10 diffraction maxima, most intense first, 15° ≤ 2θ ≤ 90°:
2θ = 42.8°, d = 2.115 Å, intensity 100; 2θ = 42.2°, d = 2.142 Å, intensity 94; 2θ = 61.6°, d = 1.505 Å, intensity 23; 2θ = 87.0°, d = 1.120 Å, intensity 18; 2θ = 77.9°, d = 1.226 Å, intensity 18; 2θ = 44.7°, d = 2.029 Å, intensity 17; 2θ = 74.4°, d = 1.275 Å, intensity 11; 2θ = 78.3°, d = 1.221 Å, intensity 11; 2θ = 26.8°, d = 3.324 Å, intensity 11; 2θ = 51.5°, d = 1.775 Å, intensity 10

Structural model:
Lattice parameters (Å, degrees): 7.325 7.325 7.922 90.00 90.00 120.00
Sites, in units of the cell vectors:
Cu1 0.000 0.000 0.000
Cu2 0.000 0.000 0.500
Cu3 0.028 0.669 0.429
Cu4 0.028 0.671 0.096
Cu5 0.329 0.357 0.096
Cu6 0.331 0.359 0.429
Cu7 0.333 0.667 0.261
Cu8 0.333 0.667 0.588
Cu9 0.333 0.667 0.934
Cu10 0.357 0.028 0.596
Cu11 0.359 0.028 0.929
Cu12 0.641 0.972 0.429
Cu13 0.643 0.972 0.096
Cu14 0.667 0.333 0.088
Cu15 0.667 0.333 0.434
Cu16 0.667 0.333 0.761
Cu17 0.669 0.641 0.929
Cu18 0.671 0.643 0.596
Cu19 0.972 0.329 0.596
Cu20 0.972 0.331 0.929
Sn1 0.023 0.707 0.762
Sn2 0.293 0.316 0.762
Sn3 0.316 0.023 0.262
Sn4 0.684 0.977 0.762
Sn5 0.707 0.684 0.262
Sn6 0.977 0.293 0.262

Copy entry 1 word for word.
Calculated powder XRD pattern of Cu15Sn for Cu Ka, from a DFT-relaxed cell (PBE, OQMD).

Largest 10 diffraction maxima, most intense first, 15° ≤ 2θ ≤ 90°:
2θ = 43.9°, d = 2.061 Å, intensity 100; 2θ = 42.6°, d = 2.121 Å, intensity 85; 2θ = 50.5°, d = 1.806 Å, intensity 61; 2θ = 89.6°, d = 1.094 Å, intensity 18; 2θ = 74.3°, d = 1.277 Å, intensity 18; 2θ = 73.9°, d = 1.282 Å, intensity 16; 2θ = 50.1°, d = 1.820 Å, intensity 14; 2θ = 75.8°, d = 1.255 Å, intensity 11; 2θ = 52.5°, d = 1.744 Å, intensity 10; 2θ = 39.2°, d = 2.296 Å, intensity 9

Structural model:
Lattice parameters (Å, degrees): 3.613 3.613 41.861 90.00 90.00 90.00
Sites, in units of the cell vectors:
Cu1 0.250 0.000 0.021
Cu2 0.250 0.000 0.107
Cu3 0.250 0.000 0.192
Cu4 0.250 0.000 0.277
Cu5 0.250 0.000 0.681
Cu6 0.250 0.000 0.766
Cu7 0.250 0.000 0.850
Cu8 0.250 0.000 0.936
Cu9 0.250 0.500 0.064
Cu10 0.250 0.500 0.150
Cu11 0.250 0.500 0.234
Cu12 0.250 0.500 0.723
Cu13 0.250 0.500 0.808
Cu14 0.250 0.500 0.893
Cu15 0.250 0.500 0.979
Cu16 0.750 0.000 0.064
Cu17 0.750 0.000 0.150
Cu18 0.750 0.000 0.234
Cu19 0.750 0.000 0.319
Cu20 0.750 0.000 0.723
Cu21 0.750 0.000 0.808
Cu22 0.750 0.000 0.893
Cu23 0.750 0.000 0.979
Cu24 0.750 0.500 0.021
Cu25 0.750 0.500 0.107
Cu26 0.750 0.500 0.192
Cu27 0.750 0.500 0.277
Cu28 0.750 0.500 0.766
Cu29 0.750 0.500 0.850
Cu30 0.750 0.500 0.936
Sn1 0.250 0.500 0.338
Sn2 0.750 0.500 0.662